Record 1
Diffraction record for NaLaSe2O6. The PXRD pattern is computed, not measured: it uses a GGA-PBE-relaxed structure and Cu Kα, 1.54184 Å.

Structural model:
```
data_NaLaSe2O6
_chemical_formula_sum 'Na4 La4 Se8 O24'
_symmetry_space_group_name_H-M 'F m -3 m'
_symmetry_Int_Tables_number 225
_symmetry_space_group_name_Hall '-F 4 2 3'
_cell_length_a 8.0012
_cell_length_b 8.0012
_cell_length_c 8.0012
_cell_angle_alpha 90.00
_cell_angle_beta 90.00
_cell_angle_gamma 90.00
loop_
_atom_site_label
_atom_site_fract_x
_atom_site_fract_y
_atom_site_fract_z
Na1 0.0000 0.0000 0.0000
La1 0.0000 0.0000 0.5000
Se1 0.2500 0.2500 0.2500
O1 0.0000 0.2500 0.2500
```

Peak list (10 most intense, 10° ≤ 2θ ≤ 90°, low angle first)
d_spacing	Rel. int.	(hkl)
4.619	35	1 1 1
2.829	100	2 2 0
2.412	20	3 1 1
2.000	38	4 0 0
1.836	9	3 3 1
1.633	39	4 2 2
1.540	7	5 1 1
1.414	22	4 4 0
1.265	17	6 2 0
1.155	7	4 4 4

Record 2
Diffraction record for Na3SmTi2Nb2O12. The PXRD pattern is computed, not measured: it uses a GGA-PBE-relaxed structure and Cu Kα, 1.54184 Å.

Structural model:
```
data_Na3SmTi2Nb2O12
_chemical_formula_sum 'Na6 Sm2 Ti4 Nb4 O24'
_symmetry_space_group_name_H-M 'P m c 21'
_symmetry_Int_Tables_number 26
_cell_length_a 15.5931
_cell_length_b 5.5053
_cell_length_c 5.6104
_cell_angle_alpha 90.00
_cell_angle_beta 90.00
_cell_angle_gamma 90.00
loop_
_symmetry_equiv_pos_as_xyz
'x,y,z'
'-x,-y,z+1/2'
'-x,y,z'
'x,-y,z+1/2'
loop_
_atom_site_label
_atom_site_fract_x
_atom_site_fract_y
_atom_site_fract_z
Na1 0.0000 0.2448 0.0000
Na2 0.2528 0.2494 0.9543
Sm1 0.5000 0.2404 0.0196
Ti1 0.3720 0.2602 0.4899
Nb1 0.1268 0.2543 0.4882
O1 0.0000 0.3176 0.4477
O2 0.1090 0.0421 0.7538
O3 0.1446 0.4570 0.1724
O4 0.2538 0.1823 0.4780
O5 0.3647 0.4567 0.1665
O6 0.4032 0.0400 0.7412
O7 0.5000 0.3320 0.4374
```

Peak list (10 most intense, 10° ≤ 2θ ≤ 90°, low angle first)
d_spacing	Rel. int.	(hkl)
7.797	22	2 0 0
5.198	24	3 0 0
3.810	43	1 1 1
2.805	27	0 0 2
2.767	100	4 1 1
2.753	24	0 2 0
1.965	35	0 2 2
1.949	19	8 0 0
1.612	20	4 1 3
1.592	34	4 3 1

Record 3
Diffraction record for Hf5Si3. The PXRD pattern is computed, not measured: it uses a GGA-PBE-relaxed structure and Cu Kα, 1.54184 Å.

Structural model:
```
data_Hf5Si3
_chemical_formula_sum 'Hf10 Si6'
_symmetry_space_group_name_H-M 'P 63/m c m'
_symmetry_Int_Tables_number 193
_symmetry_space_group_name_Hall '-P 6c 2'
_cell_length_a 7.8900
_cell_length_b 7.8900
_cell_length_c 5.5115
_cell_angle_alpha 90.00
_cell_angle_beta 90.00
_cell_angle_gamma 120.00
loop_
_atom_site_label
_atom_site_fract_x
_atom_site_fract_y
_atom_site_fract_z
Hf1 0.0000 0.2530 0.2500
Hf2 0.3333 0.6667 0.0000
Si1 0.0000 0.3906 0.7500
```

Peak list (10 most intense, 10° ≤ 2θ ≤ 90°, low angle first)
d_spacing	Rel. int.	(hkl)
3.416	45	2 0 0
3.208	67	1 1 1
2.583	54	2 1 0
2.556	47	1 0 2
2.339	97	2 1 1
2.278	57	3 0 0
2.259	100	1 1 2
1.604	31	2 2 2
1.497	24	2 1 3
1.452	35	4 0 2